The following is a simulated powder diffractogram of TmZrFeSi2. It was derived from a cell relaxed with PBE, using Cu Kα, 1.54184 Å.
No peak broadening, texture or thermal motion is included.

Crystal structure
```
TmZrFeSi2
1.0
5.016 -2.003 0.000
5.016 2.003 0.000
-4.793 0.000 8.465
Tm Zr Fe Si
2 2 2 4
Direct
0.007 0.007 0.177
0.993 0.993 0.823
0.185 0.185 0.600
0.815 0.815 0.400
0.277 0.277 0.126
0.723 0.723 0.874
0.345 0.345 0.929
0.491 0.491 0.622
0.509 0.509 0.378
0.655 0.655 0.071
```

Most intense lines, 2θ = 5–70°, most intense first:
- 2θ = 36.1°, d = 2.491 Å, I = 100
- 2θ = 24.4°, d = 3.641 Å, I = 80
- 2θ = 35.7°, d = 2.516 Å, I = 72
- 2θ = 38.8°, d = 2.319 Å, I = 64
- 2θ = 35.3°, d = 2.545 Å, I = 60
- 2θ = 45.3°, d = 2.003 Å, I = 49
- 2θ = 35.5°, d = 2.530 Å, I = 43
- 2θ = 27.9°, d = 3.193 Å, I = 42
- 2θ = 43.8°, d = 2.066 Å, I = 35
- 2θ = 10.5°, d = 8.465 Å, I = 26